Theoretical PXRD pattern of Ac5Tl5Zn2 for Cu Kα (weighted mean of Kα1 and Kα2), from a crystal structure in Alexandria, relaxed with PBE.
No peak broadening, texture or thermal motion is included.

Principal peaks in the range 10 to 80 degrees two-theta, by angle:
d = 3.374 Å, I 27; d = 3.014 Å, I 100; d = 2.934 Å, I 33; d = 2.917 Å, I 31; d = 2.722 Å, I 68; d = 2.535 Å, I 43

Crystal structure
```
Ac5Tl5Zn2
1.0
8.709 -2.535 0.000
8.709 2.535 0.000
-7.056 0.000 8.758
Ac Tl Zn
5 5 2
Direct
0.000 0.000 0.000
0.127 0.127 0.434
0.171 0.171 0.830
0.829 0.829 0.170
0.873 0.873 0.566
0.251 0.251 0.271
0.457 0.457 0.159
0.500 0.500 0.500
0.543 0.543 0.841
0.749 0.749 0.729
0.349 0.349 0.768
0.651 0.651 0.232
```



Theoretical PXRD pattern of Ac2TlZn5 for Cu Kα (weighted mean of Kα1 and Kα2), from a crystal structure in Alexandria, relaxed with PBE.
No peak broadening, texture or thermal motion is included.

Principal peaks in the range 10 to 80 degrees two-theta, by angle:
d = 3.401 Å, I 28; d = 3.263 Å, I 50; d = 2.881 Å, I 100; d = 2.791 Å, I 62; d = 2.460 Å, I 32; d = 2.353 Å, I 45

Crystal structure
```
Ac2TlZn5
1.0
2.353 -8.667 0.000
2.353 8.667 0.000
0.000 0.000 9.381
Ac Tl Zn
4 2 10
Direct
0.000 0.000 0.000
0.000 0.000 0.500
0.210 0.790 0.750
0.790 0.210 0.250
0.441 0.559 0.250
0.559 0.441 0.750
0.183 0.817 0.109
0.183 0.817 0.391
0.345 0.655 0.010
0.345 0.655 0.490
0.400 0.600 0.750
0.600 0.400 0.250
0.655 0.345 0.510
0.655 0.345 0.990
0.817 0.183 0.609
0.817 0.183 0.891
```



Theoretical PXRD pattern of Ac5Tl2Zn for Cu Kα (weighted mean of Kα1 and Kα2), from a crystal structure in Alexandria, relaxed with PBE.
No peak broadening, texture or thermal motion is included.

Principal peaks in the range 10 to 80 degrees two-theta, by angle:
d = 3.231 Å, I 38; d = 3.017 Å, I 100; d = 2.977 Å, I 76; d = 2.922 Å, I 36; d = 2.763 Å, I 55; d = 1.641 Å, I 35

Crystal structure
```
Ac5Tl2Zn
1.0
7.447 0.000 0.000
0.000 14.137 0.000
0.000 0.000 5.526
Ac Tl Zn
10 4 2
Direct
0.000 0.000 0.000
0.137 0.283 0.000
0.161 0.594 0.500
0.339 0.094 0.500
0.363 0.783 0.000
0.500 0.500 0.000
0.637 0.217 0.000
0.661 0.906 0.500
0.839 0.406 0.500
0.863 0.717 0.000
0.118 0.848 0.500
0.382 0.348 0.500
0.618 0.652 0.500
0.882 0.152 0.500
0.000 0.500 0.000
0.500 0.000 0.000
```



Theoretical PXRD pattern of Ac2TlZn3 for Cu Kα (weighted mean of Kα1 and Kα2), from a crystal structure in Alexandria, relaxed with PBE.
No peak broadening, texture or thermal motion is included.

Principal peaks in the range 10 to 80 degrees two-theta, by angle:
d = 4.156 Å, I 23; d = 2.929 Å, I 100; d = 2.406 Å, I 17; d = 2.400 Å, I 34; d = 1.859 Å, I 19; d = 1.564 Å, I 18

Crystal structure
```
Ac2TlZn3
1.0
0.000 4.812 8.305
4.126 0.000 8.305
4.126 4.812 0.000
Ac Tl Zn
4 2 6
Direct
0.241 0.759 0.759
0.250 0.250 0.250
0.750 0.750 0.750
0.759 0.241 0.241
0.336 0.336 0.664
0.664 0.664 0.336
0.162 0.162 0.838
0.164 0.676 0.324
0.324 0.836 0.164
0.676 0.164 0.836
0.836 0.324 0.676
0.838 0.838 0.162
```



Theoretical PXRD pattern of Ac8Y2Tm for Cu Kα (weighted mean of Kα1 and Kα2), from a crystal structure in Alexandria, relaxed with PBE.
No peak broadening, texture or thermal motion is included.

Principal peaks in the range 10 to 80 degrees two-theta, by angle:
d = 3.163 Å, I 100; d = 2.763 Å, I 18; d = 2.737 Å, I 17; d = 2.719 Å, I 17; d = 1.945 Å, I 13; d = 1.938 Å, I 13

Crystal structure
```
Ac8Y2Tm
1.0
9.805 -2.763 0.000
9.805 2.763 0.000
-2.302 0.000 8.349
Ac Y Tm
8 2 1
Direct
0.047 0.047 0.230
0.138 0.138 0.689
0.319 0.319 0.585
0.406 0.406 0.048
0.594 0.594 0.952
0.681 0.681 0.415
0.862 0.862 0.311
0.953 0.953 0.770
0.226 0.226 0.132
0.774 0.774 0.868
0.500 0.500 0.500
```



Theoretical PXRD pattern of AcY2Tm2 for Cu Kα (weighted mean of Kα1 and Kα2), from a crystal structure in Alexandria, relaxed with PBE.
No peak broadening, texture or thermal motion is included.

Principal peaks in the range 10 to 80 degrees two-theta, by angle:
d = 7.689 Å, I 59; d = 2.949 Å, I 56; d = 2.853 Å, I 58; d = 2.788 Å, I 100; d = 2.649 Å, I 65; d = 1.670 Å, I 25

Crystal structure
```
AcY2Tm2
1.0
-2.949 6.222 4.890
2.949 -6.222 4.890
2.949 6.222 -4.890
Ac Y Tm
2 4 4
Direct
0.385 0.135 0.250
0.615 0.865 0.750
0.103 0.161 0.942
0.281 0.839 0.442
0.719 0.161 0.558
0.897 0.839 0.058
0.164 0.551 0.613
0.438 0.551 0.887
0.562 0.449 0.113
0.836 0.449 0.387
```



Theoretical PXRD pattern of Ac3YTm for Cu Kα (weighted mean of Kα1 and Kα2), from a crystal structure in Alexandria, relaxed with PBE.
No peak broadening, texture or thermal motion is included.

Principal peaks in the range 10 to 80 degrees two-theta, by angle:
d = 3.118 Å, I 100; d = 3.107 Å, I 100; d = 2.726 Å, I 35; d = 2.705 Å, I 34; d = 2.657 Å, I 33; d = 1.902 Å, I 37

Crystal structure
```
Ac3YTm
1.0
8.430 0.000 0.000
0.000 5.451 0.000
-0.127 0.000 8.524
Ac Y Tm
6 2 2
Direct
0.155 0.250 0.046
0.249 0.750 0.748
0.341 0.250 0.452
0.659 0.750 0.548
0.751 0.250 0.252
0.845 0.750 0.954
0.445 0.750 0.150
0.555 0.250 0.850
0.053 0.750 0.351
0.947 0.250 0.649
```



Theoretical PXRD pattern of Ac4YTm for Cu Kα (weighted mean of Kα1 and Kα2), from a crystal structure in Alexandria, relaxed with PBE.
No peak broadening, texture or thermal motion is included.

Principal peaks in the range 10 to 80 degrees two-theta, by angle:
d = 3.154 Å, I 100; d = 3.106 Å, I 28; d = 3.022 Å, I 79; d = 2.910 Å, I 42; d = 2.407 Å, I 28; d = 1.603 Å, I 28

Crystal structure
```
Ac4YTm
1.0
3.724 0.000 0.000
0.000 5.821 0.000
0.000 0.000 11.258
Ac Y Tm
4 1 1
Direct
0.000 0.000 0.156
0.000 0.000 0.844
0.000 0.500 0.342
0.000 0.500 0.658
0.500 0.000 0.500
0.500 0.500 0.000
```



- What is the formula in the first record?
  Ac5Tl5Zn2